Record 1
# Sr2CrSO3
Calculated X-ray powder pattern, Cu Kα (weighted mean of Kα1 and Kα2). Input: a structure optimized by DFT (PBE+U).
Kinematic intensities with the Lorentz-polarization factor, no thermal factor.

Structural model:
```
data_Sr2CrSO3
_symmetry_space_group_name_H-M 'P 4/n m m'
_symmetry_Int_Tables_number 129
_cell_length_a 3.9933
_cell_length_b 3.9933
_cell_length_c 13.7622
_cell_angle_alpha 90.00
_cell_angle_beta 90.00
_cell_angle_gamma 90.00
loop_
_symmetry_equiv_pos_as_xyz
'x,y,z'
'-x,-y,-z'
'-y+1/2,x,z'
'y+1/2,-x,-z'
'-x+1/2,-y+1/2,z'
'x+1/2,y+1/2,-z'
'y,-x+1/2,z'
'-y,x+1/2,-z'
'x+1/2,-y,-z'
'-x+1/2,y,z'
'-y,-x,-z'
'y,x,z'
'-x,y+1/2,-z'
'x,-y+1/2,z'
'y+1/2,x+1/2,-z'
'-y+1/2,-x+1/2,z'
loop_
_atom_site_label
_atom_site_fract_x
_atom_site_fract_y
_atom_site_fract_z
Sr1 0.2500 0.2500 0.0983
Sr2 0.2500 0.2500 0.3595
Cr1 0.2500 0.2500 0.7786
S1 0.2500 0.2500 0.5871
O1 0.2500 0.2500 0.9192
O2 0.2500 0.7500 0.2282
```

Most intense lines, 2θ = 10–90°, in order of falling intensity:
| two_theta | Rel. int. | hkl |
| --- | --- | --- |
| 31.7 | 1000 | 1 1 0 |
| 29.7 | 582 | 1 0 3 |
| 45.4 | 557 | 2 0 0 |
| 34.4 | 491 | 1 0 4 |
| 41.4 | 417 | 1 1 4 |
| 39.8 | 317 | 1 0 5 |
| 55.2 | 209 | 2 1 3 |
| 58.2 | 203 | 2 1 4 |



Record 2
# Sr3Cr2S2O5
Calculated X-ray powder pattern, Cu Kα (weighted mean of Kα1 and Kα2). Input: a structure optimized by DFT (PBE+U).
Kinematic intensities with the Lorentz-polarization factor, no thermal factor.

Structural model:
```
data_Sr3Cr2S2O5
_symmetry_space_group_name_H-M 'I 4/m m m'
_symmetry_Int_Tables_number 139
_symmetry_space_group_name_Hall '-I 4 2'
_cell_length_a 4.0221
_cell_length_b 4.0221
_cell_length_c 22.5814
_cell_angle_alpha 90.00
_cell_angle_beta 90.00
_cell_angle_gamma 90.00
loop_
_atom_site_label
_atom_site_fract_x
_atom_site_fract_y
_atom_site_fract_z
Sr1 0.0000 0.0000 0.0000
Sr2 0.0000 0.0000 0.1636
Cr1 0.0000 0.0000 0.4147
S1 0.0000 0.0000 0.3039
O1 0.0000 0.0000 0.5000
O2 0.0000 0.5000 0.0865
```

Most intense lines, 2θ = 10–90°, in order of falling intensity:
| two_theta | Rel. int. | hkl |
| --- | --- | --- |
| 31.5 | 1000 | 1 1 0 |
| 35.7 | 922 | 1 0 7 |
| 45.1 | 623 | 2 0 0 |
| 58.8 | 584 | 2 1 7 |
| 39.7 | 490 | 1 1 6 |
| 29.7 | 467 | 1 0 5 |
| 68.3 | 201 | 2 0 12 |
| 65.7 | 185 | 2 2 0 |



Record 3
# TbCrSO2
Calculated X-ray powder pattern, Cu Kα (weighted mean of Kα1 and Kα2). Input: a structure optimized by DFT (PBE+U).
Kinematic intensities with the Lorentz-polarization factor, no thermal factor.

Structural model:
```
data_TbCrSO2
_symmetry_space_group_name_H-M 'C m c m'
_symmetry_Int_Tables_number 63
_symmetry_space_group_name_Hall '-C 2c 2'
_cell_length_a 5.1958
_cell_length_b 11.5003
_cell_length_c 5.1615
_cell_angle_alpha 90.00
_cell_angle_beta 90.00
_cell_angle_gamma 90.00
loop_
_atom_site_label
_atom_site_fract_x
_atom_site_fract_y
_atom_site_fract_z
Tb1 0.0000 0.1204 0.2500
Cr1 0.0000 0.4356 0.2500
S1 0.0000 0.2567 0.7500
O1 0.2443 0.5000 0.0000
```

Most intense lines, 2θ = 10–90°, in order of falling intensity:
| two_theta | Rel. int. | hkl |
| --- | --- | --- |
| 33.9 | 1000 | 1 3 1 |
| 23.2 | 452 | 0 2 1 |
| 25.5 | 447 | 1 1 1 |
| 49.8 | 292 | 2 0 2 |
| 34.5 | 253 | 2 0 0 |
| 28.9 | 249 | 1 3 0 |
| 34.8 | 249 | 0 0 2 |
| 42.0 | 196 | 2 2 1 |



Record 4
# Cr3Sb5O16
Calculated X-ray powder pattern, Cu Kα (weighted mean of Kα1 and Kα2). Input: a structure optimized by DFT (PBE+U).
Kinematic intensities with the Lorentz-polarization factor, no thermal factor.

Structural model:
```
data_Cr3Sb5O16
_symmetry_space_group_name_H-M 'C 1 m 1'
_symmetry_Int_Tables_number 8
_symmetry_space_group_name_Hall 'C -2y'
_cell_length_a 10.6643
_cell_length_b 6.1641
_cell_length_c 9.9776
_cell_angle_alpha 90.00
_cell_angle_beta 90.15
_cell_angle_gamma 90.00
loop_
_atom_site_label
_atom_site_fract_x
_atom_site_fract_y
_atom_site_fract_z
Cr1 0.0000 0.0000 0.0000
Cr2 0.0781 0.2559 0.4654
Sb1 0.0117 0.5000 0.7306
Sb2 0.2461 0.2465 0.0000
Sb3 0.3325 0.0000 0.4684
Sb4 0.3380 0.5000 0.2666
O1 0.0880 0.2373 0.9008
O2 0.1445 0.5000 0.5787
O3 0.1642 0.0000 0.1074
O4 0.1659 0.0000 0.5543
O5 0.1860 0.5000 0.1266
O6 0.2507 0.2531 0.3611
O7 0.3281 0.5000 0.8976
O8 0.3286 0.0000 0.9034
O9 0.4001 0.2849 0.1209
O10 0.4248 0.2189 0.5858
O11 0.4933 0.0000 0.3651
O12 0.4978 0.5000 0.3614
```

Most intense lines, 2θ = 10–90°, in order of falling intensity:
| two_theta | Rel. int. | hkl |
| --- | --- | --- |
| 18.9 | 1000 | 2 0 -1 |
| 34.2 | 454 | 0 2 2 |
| 34.8 | 454 | 2 2 1 |
| 24.4 | 419 | 2 0 2 |
| 43.5 | 370 | 4 0 -3 |
| 17.8 | 303 | 0 0 2 |
| 31.7 | 251 | 1 1 3 |
| 60.1 | 245 | 0 4 0 |



Record 5
# CrSbO4
Calculated X-ray powder pattern, Cu Kα (weighted mean of Kα1 and Kα2). Input: a structure optimized by DFT (PBE+U).
Kinematic intensities with the Lorentz-polarization factor, no thermal factor.

Structural model:
```
data_CrSbO4
_symmetry_space_group_name_H-M 'P 1 2/m 1'
_symmetry_Int_Tables_number 10
_symmetry_space_group_name_Hall '-P 2y'
_cell_length_a 5.2279
_cell_length_b 3.1202
_cell_length_c 5.3507
_cell_angle_alpha 90.00
_cell_angle_beta 109.75
_cell_angle_gamma 90.00
loop_
_atom_site_label
_atom_site_fract_x
_atom_site_fract_y
_atom_site_fract_z
Cr1 0.0000 0.0000 0.0000
Sb1 0.0000 0.5000 0.5000
O1 0.1905 0.5000 0.2349
O2 0.2084 0.0000 0.7316
```

Most intense lines, 2θ = 10–90°, in order of falling intensity:
| two_theta | Rel. int. | hkl |
| --- | --- | --- |
| 18.0 | 1000 | 1 0 0 |
| 41.5 | 316 | 1 1 1 |
| 33.8 | 294 | 0 1 1 |
| 34.1 | 194 | 1 0 -2 |
| 41.8 | 154 | 2 0 -2 |
| 45.6 | 136 | 1 0 2 |
| 60.9 | 118 | 2 0 2 |
| 17.6 | 115 | 0 0 1 |



Record 6
# Cr3SbO8
Calculated X-ray powder pattern, Cu Kα (weighted mean of Kα1 and Kα2). Input: a structure optimized by DFT (PBE+U).
Kinematic intensities with the Lorentz-polarization factor, no thermal factor.

Structural model:
```
data_Cr3SbO8
_symmetry_space_group_name_H-M 'C 1 c 1'
_symmetry_Int_Tables_number 9
_symmetry_space_group_name_Hall 'C -2yc'
_cell_length_a 5.9821
_cell_length_b 10.2340
_cell_length_c 9.2825
_cell_angle_alpha 90.00
_cell_angle_beta 91.44
_cell_angle_gamma 90.00
loop_
_atom_site_label
_atom_site_fract_x
_atom_site_fract_y
_atom_site_fract_z
Cr1 0.0000 0.0854 0.0000
Cr2 0.0053 0.4119 0.4926
Cr3 0.2493 0.1691 0.4827
Sb1 0.2460 0.3388 0.2132
O1 0.0354 0.2567 0.3601
O2 0.2442 0.1721 0.0972
O3 0.2462 0.0024 0.4035
O4 0.2571 0.3238 0.5974
O5 0.2567 0.4777 0.3706
O6 0.4672 0.2617 0.3646
O7 0.4932 0.4207 0.0990
O8 0.4973 0.0804 0.6052
```

Most intense lines, 2θ = 10–90°, in order of falling intensity:
| two_theta | Rel. int. | hkl |
| --- | --- | --- |
| 19.8 | 1000 | 1 1 1 |
| 19.5 | 566 | 1 1 -1 |
| 36.2 | 325 | 1 3 2 |
| 35.8 | 233 | 1 3 -2 |
| 62.7 | 212 | 2 6 0 |
| 33.9 | 207 | 0 2 3 |
| 26.1 | 186 | 1 1 2 |
| 25.5 | 171 | 1 1 -2 |



Record 7
# CrSb2O6
Calculated X-ray powder pattern, Cu Kα (weighted mean of Kα1 and Kα2). Input: a structure optimized by DFT (PBE+U).
Kinematic intensities with the Lorentz-polarization factor, no thermal factor.

Structural model:
```
data_CrSb2O6
_symmetry_space_group_name_H-M 'P 3 2 1'
_symmetry_Int_Tables_number 150
_symmetry_space_group_name_Hall 'P 3 2"'
_cell_length_a 8.9034
_cell_length_b 8.9034
_cell_length_c 4.6897
_cell_angle_alpha 90.00
_cell_angle_beta 90.00
_cell_angle_gamma 120.00
loop_
_atom_site_label
_atom_site_fract_x
_atom_site_fract_y
_atom_site_fract_z
Cr1 0.0000 0.0000 0.0000
Cr2 0.3333 0.6667 0.5074
Sb1 0.0000 0.3058 0.5000
Sb2 0.0000 0.6401 0.0000
O1 0.1010 0.8840 0.7666
O2 0.1146 0.5327 0.7347
O3 0.2207 0.7761 0.2794
```

Most intense lines, 2θ = 10–90°, in order of falling intensity:
| two_theta | Rel. int. | hkl |
| --- | --- | --- |
| 27.6 | 1000 | 1 1 1 |
| 52.9 | 376 | 0 3 2 |
| 34.9 | 329 | 3 0 0 |
| 45.1 | 213 | 2 2 1 |
| 58.3 | 166 | 1 4 1 |
| 30.0 | 132 | 0 2 1 |
| 62.6 | 107 | 3 3 0 |
| 19.9 | 98 | 1 1 0 |



Record 8
# Cr5Sb3O16
Calculated X-ray powder pattern, Cu Kα (weighted mean of Kα1 and Kα2). Input: a structure optimized by DFT (PBE+U).
Kinematic intensities with the Lorentz-polarization factor, no thermal factor.

Structural model:
```
data_Cr5Sb3O16
_symmetry_space_group_name_H-M 'C 1 m 1'
_symmetry_Int_Tables_number 8
_symmetry_space_group_name_Hall 'C -2y'
_cell_length_a 10.4821
_cell_length_b 6.0791
_cell_length_c 9.1218
_cell_angle_alpha 90.00
_cell_angle_beta 90.25
_cell_angle_gamma 90.00
loop_
_atom_site_label
_atom_site_fract_x
_atom_site_fract_y
_atom_site_fract_z
Cr1 0.0000 0.0000 0.0000
Cr2 0.0118 0.5000 0.2277
Cr3 0.0854 0.2488 0.5046
Cr4 0.3385 0.5000 0.7205
Sb1 0.2516 0.2511 0.9992
Sb2 0.3376 0.0000 0.4981
O1 0.9996 0.0000 0.5974
O2 0.0010 0.5000 0.6149
O3 0.0899 0.2506 0.1083
O4 0.1405 0.5000 0.3839
O5 0.1683 0.0000 0.3967
O6 0.1682 0.0000 0.8883
O7 0.1892 0.5000 0.8645
O8 0.2496 0.2533 0.6050
O9 0.3343 0.5000 0.1168
O10 0.3378 0.0000 0.1088
O11 0.4057 0.2843 0.8708
O12 0.4361 0.2162 0.3709
```

Most intense lines, 2θ = 10–90°, in order of falling intensity:
| two_theta | Rel. int. | hkl |
| --- | --- | --- |
| 19.5 | 1000 | 0 0 2 |
| 35.5 | 506 | 2 2 -1 |
| 39.6 | 271 | 0 0 4 |
| 35.6 | 251 | 4 0 -1 |
| 34.1 | 227 | 2 2 0 |
| 25.9 | 209 | 2 0 -2 |
| 45.6 | 197 | 4 0 -3 |
| 19.6 | 184 | 2 0 1 |